Simulated X-ray diffraction stick pattern
Compound: MoH4O5
Radiation: Cu Ka
Structure: a structure optimized by DFT (GGA+U)
Intensities are scaled so that the largest is 100.

Largest 10 diffraction maxima, in order of rising 2θ, 2θ = 10–90°:
| hkl | Position (°2θ) | I (rel.) |
| --- | --- | --- |
| 1 0 0 | 13.4 | 100 |
| 0 1 0 | 22.1 | 36 |
| 0 0 2 | 22.7 | 32 |
| 1 0 -2 | 23.1 | 45 |
| 1 1 0 | 25.9 | 47 |
| 2 0 0 | 26.9 | 25 |
| 1 0 2 | 29.4 | 12 |
| 0 1 2 | 31.9 | 21 |
| 1 1 -2 | 32.2 | 12 |
| 2 0 -4 | 47.3 | 14 |

Unit cell a=6.8630 b=4.0186 c=8.1285 alpha=90.00 beta=105.36 gamma=90.00
Space group Pc (No. 7)
One atom of each set of equivalent atoms:
Mo  0.0000  0.0166  0.0000 [2 per cell]
H  0.3756  0.1239  0.1349 [2 per cell]
H  0.4312  0.3809  0.6738 [2 per cell]
H  0.6187  0.4604  0.1246 [2 per cell]
H  0.6504  0.2193  0.3811 [2 per cell]
O  0.0096  0.4532  0.0258 [2 per cell]
O  0.2815  0.0775  0.6090 [2 per cell]
O  0.5265  0.4209  0.1961 [2 per cell]
O  0.7217  0.0921  0.4859 [2 per cell]
O  0.9892  0.0194  0.2830 [2 per cell]